1.
Theoretical XRD peak list
Compound: Pb2O3
Radiation: a wavelength of 1.5418 Å
Structure: a DFT-relaxed cell (PBE, the Materials Project)
Kinematic intensities with the Lorentz-polarization factor, no thermal factor.

Structure:
Cell: 5.7186 8.4340 6.9687 Å, 90.00 93.18 90.00°
Atoms (fractional coordinates):
Pb 0.0000 0.0000 0.0000
Pb 0.0014 0.5000 0.5043
Pb 0.0043 0.5000 0.0009
Pb 0.4966 0.2504 0.2512
Pb 0.4966 0.7496 0.2512
Pb 0.5022 0.2505 0.7501
Pb 0.5022 0.7495 0.7501
Pb 0.9949 0.0000 0.5075
O 0.2402 0.2439 0.4876
O 0.2395 0.2527 0.9843
O 0.2395 0.7473 0.9843
O 0.2402 0.7561 0.4876
O 0.3782 0.5000 0.2523
O 0.4047 0.0000 0.7564
O 0.6055 0.0000 0.2507
O 0.6114 0.5000 0.7490
O 0.7577 0.2514 0.5096
O 0.7577 0.7486 0.5096
O 0.7585 0.2537 0.0168
O 0.7585 0.7463 0.0168

The 6 most intense peaks (2θ from 10° to 80°), in order of rising 2θ:
Position (°2θ)	I/Imax
26.27	100.0
29.31	43.2
30.83	40.4
31.33	29.9
33.39	45.7
52.78	34.8

***

2.
Theoretical XRD peak list
Compound: Na2Ti2O5
Radiation: a wavelength of 1.5418 Å
Structure: a DFT-relaxed cell (PBE, the Materials Project)
Kinematic intensities with the Lorentz-polarization factor, no thermal factor.

Structure:
Cell: 6.7200 5.5147 16.6158 Å, 90.00 90.00 90.00°
Atoms (fractional coordinates):
Na 0.0990 0.2152 0.0563
Na 0.0990 0.7848 0.5563
Na 0.4010 0.2848 0.5563
Na 0.4010 0.7152 0.0563
Na 0.5990 0.2848 0.9437
Na 0.5990 0.7152 0.4437
Na 0.9010 0.2152 0.4437
Na 0.9010 0.7848 0.9437
Ti 0.1037 0.2979 0.8498
Ti 0.1037 0.7021 0.3498
Ti 0.3963 0.2021 0.3498
Ti 0.3963 0.7979 0.8498
Ti 0.6037 0.2021 0.1502
Ti 0.6037 0.7979 0.6502
Ti 0.8963 0.2979 0.6502
Ti 0.8963 0.7021 0.1502
O 0.0000 0.2266 0.7500
O 0.0000 0.7734 0.2500
O 0.0607 0.2161 0.5724
O 0.0607 0.7839 0.0724
O 0.1576 0.3718 0.3633
O 0.1576 0.6282 0.8633
O 0.3424 0.1282 0.8633
O 0.3424 0.8718 0.3633
O 0.4393 0.2839 0.0724
O 0.4393 0.7161 0.5724
O 0.5000 0.2734 0.2500
O 0.5000 0.7266 0.7500
O 0.5607 0.2839 0.4276
O 0.5607 0.7161 0.9276
O 0.6576 0.1282 0.6367
O 0.6576 0.8718 0.1367
O 0.8424 0.3718 0.1367
O 0.8424 0.6282 0.6367
O 0.9393 0.2161 0.9276
O 0.9393 0.7839 0.4276

The 6 most intense peaks (2θ from 10° to 80°), in order of rising 2θ:
Position (°2θ)	I/Imax
16.97	63.4
21.39	51.1
21.52	100.0
25.20	52.5
31.64	28.0
32.47	55.8